The following is a theoretical powder diffraction line list of CrIrO4. It was derived from a cell relaxed with PBE+U, using a wavelength of 1.5418 Å.
Kinematic intensities with the Lorentz-polarization factor, no thermal factor.

Atomic structure:
Cell: 6.3778 6.4869 3.1196 Å, 90.00 90.00 90.00°
Space group Cmmm (No. 65)
Symmetry-distinct sites (fractional):
Cr  0.0000  0.0000  0.0000 [2 per cell]
Ir  0.0000  0.5000  0.5000 [2 per cell]
O  0.0000  0.3096  0.0000 [4 per cell]
O  0.1957  0.0000  0.5000 [4 per cell]

Largest 12 diffraction maxima, low angle first, 2θ from 10° to 80°:
two_theta	d_spacing	I (rel.)	(hkl)
19.5	4.548	77.9	1 1 0
27.5	3.243	61.7	0 2 0
28.0	3.189	58.3	2 0 0
28.6	3.120	15.5	0 0 1
34.9	2.573	100.0	1 1 1
39.6	2.274	27.5	2 2 0
40.1	2.248	25.9	0 2 1
44.9	2.020	15.7	3 1 0
49.6	1.838	14.5	2 2 1
53.5	1.712	40.4	1 3 1
54.1	1.696	38.5	3 1 1
68.9	1.363	22.9	3 3 1